# 1
Calculated powder diffractogram of Ho2PuNi9 for Cu Kα (weighted mean of Kα1 and Kα2), from a PBE-relaxed structure.
Neutral-atom scattering factors, no anomalous dispersion.

Principal peaks in the range 15° ≤ 2θ ≤ 90°, by angle:
2theta	Rel. int.
21.00	20
33.21	53
36.23	93
42.24	37
42.77	100
44.80	15
63.24	16
65.17	27
69.67	31
76.87	19

Crystal structure
Cell lengths 4.9607, 4.9607, 24.2656 Å; angles 90.00, 90.00, 120.00 degrees
Space group R-3m (No. 166, hexagonal axes)
Symmetry-distinct sites (fractional):
Ho1 0.0000 0.0000 0.1389 x6
Pu1 0.0000 0.0000 0.0000 x3
Ni1 0.0000 0.0000 0.3330 x6
Ni2 0.0000 0.0000 0.5000 x3
Ni3 0.0011 0.5005 0.9176 x18

***

# 2
Calculated powder diffractogram of Ho4NiRh for Cu Kα (weighted mean of Kα1 and Kα2), from a PBE-relaxed structure.
Neutral-atom scattering factors, no anomalous dispersion.

Principal peaks in the range 15° ≤ 2θ ≤ 90°, by angle:
2theta	Rel. int.
19.38	22
27.54	22
29.68	100
30.87	33
38.39	32
39.35	25
45.42	15
47.90	36
50.05	19
84.04	16

Crystal structure
Cell lengths 9.160, 9.160, 7.987 Å; angles 90.00, 90.00, 90.00 degrees
Space group I4_1md (No. 109)
Symmetry-distinct sites (fractional):
Ho1 0.000 0.297 0.000 x8
Ho2 0.000 0.300 0.494 x8
Ni1 0.000 0.000 0.995 x4
Rh1 0.000 0.000 0.498 x4

***

# 3
Calculated powder diffractogram of Ho2Ni2SnRh5 for Cu Kα (weighted mean of Kα1 and Kα2), from a PBE-relaxed structure.
Neutral-atom scattering factors, no anomalous dispersion.

Principal peaks in the range 15° ≤ 2θ ≤ 90°, by angle:
2theta	Rel. int.
31.69	38
35.99	25
38.62	100
40.22	44
41.43	12
42.30	30
43.79	18
47.04	28
63.57	24
81.70	11

Crystal structure
Cell lengths 9.246, 9.246, 3.864 Å; angles 90.00, 90.00, 90.00 degrees
Space group P4/mbm (No. 127)
Symmetry-distinct sites (fractional):
Ho1 0.174 0.326 0.000 x4
Ni1 0.122 0.622 0.000 x4
Sn1 0.000 0.000 0.000 x2
Rh1 0.000 0.500 0.500 x2
Rh2 0.070 0.789 0.500 x8

***

# 4
Calculated powder diffractogram of HoUNiRu for Cu Kα (weighted mean of Kα1 and Kα2), from a PBE-relaxed structure.
Neutral-atom scattering factors, no anomalous dispersion.

Principal peaks in the range 15° ≤ 2θ ≤ 90°, by angle:
2theta	Rel. int.
22.88	4
26.48	19
37.80	100
44.65	2
46.75	6
54.53	17
61.62	8
68.26	36
80.76	11
86.82	5

Crystal structure
Cell lengths 6.731, 6.731, 6.731 Å; angles 90.00, 90.00, 90.00 degrees
Space group F-43m (No. 216)
Symmetry-distinct sites (fractional):
Ho1 0.000 0.000 0.000 x4
U1 0.000 0.000 0.500 x4
Ni1 0.250 0.250 0.750 x4
Ru1 0.250 0.250 0.250 x4